Starting from a structure optimized by DFT (GGA+U), the XRD peak list of BaCaSmMnO6 was computed for Cu Kα, 1.54184 Å.
Peak positions follow from Bragg's law for the DFT cell and can differ from measured ones.

Peak list (8 most intense, 10° ≤ 2θ ≤ 80°, low angle first)
18.4 deg, I = 25.0
30.3 deg, I = 100.0
35.7 deg, I = 18.6
43.3 deg, I = 33.4
47.5 deg, I = 10.0
53.8 deg, I = 38.7
63.0 deg, I = 19.9
71.4 deg, I = 17.6

Crystal structure
```
10
Lattice="0.0000 4.1755 4.1755 4.1755 0.0000 4.1755 4.1755 4.1755 0.0000" Properties=species:S:1:pos:R:3 pbc="T T T"
Ba 0.0000 0.0000 0.0000
Ca 4.1755 4.1755 4.1755
Sm 2.0877 2.0877 2.0877
Mn 6.2632 6.2632 6.2632
O 6.2632 6.2632 4.3504
O 6.2632 4.3504 6.2632
O 8.1760 6.2632 6.2632
O 4.3504 6.2632 6.2632
O 6.2632 8.1760 6.2632
O 6.2632 6.2632 8.1760
```